Entry 1:
# Cu3Mo2O9
Theoretical PXRD pattern, Cu Kα, 1.54184 Å. Input: DFT lattice parameters and positions (PBE+U).
Peak positions follow from Bragg's law for the DFT cell and can differ from measured ones.

Principal peaks in the range 10° ≤ 2θ ≤ 90°, by angle:
| hkl | 2θ (°) | d_spacing | intensity |
| --- | --- | --- | --- |
| 1 2 1 | 22.48 | 3.956 | 80 |
| 0 0 2 | 24.20 | 3.677 | 24 |
| 1 2 2 | 26.69 | 3.340 | 76 |
| 2 0 -1 | 27.21 | 3.278 | 100 |
| 2 1 -1 | 27.50 | 3.244 | 45 |
| 1 -1 1 | 29.79 | 2.999 | 28 |
| 1 0 2 | 29.97 | 2.981 | 52 |
| 1 2 -1 | 31.41 | 2.848 | 28 |
| -1 2 2 | 33.32 | 2.689 | 32 |
| 4 1 -2 | 54.57 | 1.682 | 26 |

Crystal structure
```
data_Cu3Mo2O9
_space_group_name_H-M_alt 'P -1'
_space_group_IT_number 2
_space_group_name_Hall '-P 1'
_cell_length_a 7.3937
_cell_length_b 8.0530
_cell_length_c 8.2525
_cell_angle_alpha 65.23
_cell_angle_beta 89.57
_cell_angle_gamma 66.30
loop_
_atom_site_label
_atom_site_fract_x
_atom_site_fract_y
_atom_site_fract_z
Cu1 0.0766 0.1469 0.4819
Cu2 0.1269 0.7826 0.9004
Cu3 0.2962 0.9110 0.2703
Mo1 0.2021 0.2825 0.8116
Mo2 0.4368 0.3273 0.2933
O1 0.0379 0.0154 0.3434
O2 0.0860 0.2817 0.6224
O3 0.1244 0.5356 0.7748
O4 0.1370 0.1335 0.0293
O5 0.2578 0.5891 0.1529
O6 0.3045 0.1708 0.3606
O7 0.3794 0.7678 0.8286
O8 0.4350 0.6938 0.5104
O9 0.4680 0.1715 0.8297
```

---

Entry 2:
# CuMo3O9
Theoretical PXRD pattern, Cu Kα, 1.54184 Å. Input: DFT lattice parameters and positions (PBE+U).
Peak positions follow from Bragg's law for the DFT cell and can differ from measured ones.

Principal peaks in the range 10° ≤ 2θ ≤ 90°, by angle:
| hkl | 2θ (°) | d_spacing | intensity |
| --- | --- | --- | --- |
| 1 1 1 | 19.77 | 4.491 | 100 |
| 0 0 2 | 20.62 | 4.307 | 23 |
| 1 1 -2 | 21.07 | 4.216 | 24 |
| 3 1 -2 | 22.70 | 3.917 | 92 |
| 3 1 0 | 25.00 | 3.563 | 49 |
| 0 2 1 | 26.11 | 3.413 | 27 |
| 3 1 -3 | 28.08 | 3.177 | 41 |
| 2 0 2 | 31.78 | 2.816 | 34 |
| 4 0 -4 | 33.99 | 2.637 | 17 |
| 2 2 -3 | 35.10 | 2.556 | 20 |

Crystal structure
```
data_CuMo3O9
_space_group_name_H-M_alt 'C 1 c 1'
_space_group_IT_number 9
_space_group_name_Hall 'C -2yc'
_cell_length_a 15.0855
_cell_length_b 7.4337
_cell_length_c 10.6703
_cell_angle_alpha 90.00
_cell_angle_beta 126.18
_cell_angle_gamma 90.00
loop_
_atom_site_label
_atom_site_fract_x
_atom_site_fract_y
_atom_site_fract_z
Cu1 0.0000 0.2456 0.0000
Mo1 0.1181 0.3912 0.8098
Mo2 0.2552 0.0125 0.7552
Mo3 0.3697 0.3846 0.6689
O1 0.0134 0.3464 0.8334
O2 0.0777 0.4871 0.1425
O3 0.1483 0.1098 0.0965
O4 0.2024 0.1716 0.8290
O5 0.2494 0.4960 0.4971
O6 0.3280 0.1498 0.6905
O7 0.3446 0.1416 0.4020
O8 0.4102 0.4957 0.3348
O9 0.4821 0.3725 0.6590
```

---

Entry 3:
# Cu3Mo2O9
Theoretical PXRD pattern, Cu Kα, 1.54184 Å. Input: DFT lattice parameters and positions (PBE+U).
Peak positions follow from Bragg's law for the DFT cell and can differ from measured ones.

Principal peaks in the range 10° ≤ 2θ ≤ 90°, by angle:
| hkl | 2θ (°) | d_spacing | intensity |
| --- | --- | --- | --- |
| 2 0 0 | 22.92 | 3.881 | 48 |
| 0 0 4 | 23.72 | 3.750 | 31 |
| 1 1 3 | 24.81 | 3.589 | 42 |
| 0 2 0 | 25.81 | 3.451 | 73 |
| 1 0 4 | 26.39 | 3.377 | 100 |
| 1 2 1 | 28.93 | 3.087 | 41 |
| 2 0 4 | 33.24 | 2.695 | 22 |
| 2 2 0 | 34.78 | 2.580 | 48 |
| 0 2 4 | 35.35 | 2.539 | 35 |
| 0 4 0 | 53.05 | 1.726 | 24 |

Crystal structure
```
data_Cu3Mo2O9
_space_group_name_H-M_alt 'P n m a'
_space_group_IT_number 62
_space_group_name_Hall '-P 2ac 2n'
_cell_length_a 7.7612
_cell_length_b 6.9054
_cell_length_c 14.9863
_cell_angle_alpha 90.00
_cell_angle_beta 90.00
_cell_angle_gamma 90.00
loop_
_atom_site_label
_atom_site_fract_x
_atom_site_fract_y
_atom_site_fract_z
Cu1 0.0000 0.0000 0.0000
Cu2 0.1789 0.2500 0.1449
Cu3 0.2133 0.7500 0.4347
Mo1 0.1779 0.2500 0.3862
Mo2 0.2208 0.2500 0.6715
O1 0.0169 0.2500 0.6135
O2 0.0458 0.7500 0.5998
O3 0.0892 0.2500 0.0219
O4 0.1567 0.5339 0.1404
O5 0.1821 0.2500 0.7867
O6 0.2291 0.5334 0.9399
O7 0.2310 0.2500 0.2707
```

---

Entry 4:
# Cu2MoPb2O6
Theoretical PXRD pattern, Cu Kα, 1.54184 Å. Input: DFT lattice parameters and positions (PBE+U).
Peak positions follow from Bragg's law for the DFT cell and can differ from measured ones.

Principal peaks in the range 10° ≤ 2θ ≤ 90°, by angle:
| hkl | 2θ (°) | d_spacing | intensity |
| --- | --- | --- | --- |
| 0 1 2 | 20.81 | 4.269 | 16 |
| 1 0 4 | 29.37 | 3.041 | 15 |
| 1 1 0 | 29.81 | 2.997 | 100 |
| 0 1 5 | 34.52 | 2.598 | 62 |
| 2 0 2 | 36.64 | 2.453 | 14 |
| 2 0 5 | 46.24 | 1.963 | 28 |
| 3 0 0 | 52.92 | 1.730 | 20 |
| 1 2 5 | 56.00 | 1.642 | 35 |
| 2 2 0 | 61.92 | 1.498 | 17 |
| 3 1 5 | 72.86 | 1.298 | 17 |

Crystal structure
```
data_Cu2MoPb2O6
_space_group_name_H-M_alt 'R -3 m'
_space_group_IT_number 166
_space_group_name_Hall '-R 3 2"'
_cell_length_a 5.9938
_cell_length_b 5.9938
_cell_length_c 15.0064
_cell_angle_alpha 90.00
_cell_angle_beta 90.00
_cell_angle_gamma 120.00
loop_
_atom_site_label
_atom_site_fract_x
_atom_site_fract_y
_atom_site_fract_z
Cu1 0.0000 0.0000 0.0873
Mo1 0.0000 0.0000 0.5000
Pb1 0.0000 0.0000 0.2864
O1 0.0365 0.5183 0.2480
```

---

Entry 5:
# Cu3MoSO9
Theoretical PXRD pattern, Cu Kα, 1.54184 Å. Input: DFT lattice parameters and positions (PBE+U).
Peak positions follow from Bragg's law for the DFT cell and can differ from measured ones.

Principal peaks in the range 10° ≤ 2θ ≤ 90°, by angle:
| hkl | 2θ (°) | d_spacing | intensity |
| --- | --- | --- | --- |
| 2 0 0 | 23.58 | 3.773 | 31 |
| 2 0 1 | 24.48 | 3.636 | 26 |
| 0 2 0 | 25.79 | 3.454 | 67 |
| 2 0 2 | 27.00 | 3.303 | 44 |
| 1 0 4 | 28.77 | 3.103 | 100 |
| 1 2 1 | 29.18 | 3.060 | 48 |
| 2 2 0 | 35.23 | 2.548 | 49 |
| 1 2 4 | 39.02 | 2.309 | 36 |
| 3 0 3 | 41.02 | 2.200 | 29 |
| 0 4 0 | 53.01 | 1.727 | 31 |

Crystal structure
```
data_Cu3MoSO9
_space_group_name_H-M_alt 'P n m a'
_space_group_IT_number 62
_space_group_name_Hall '-P 2ac 2n'
_cell_length_a 7.5462
_cell_length_b 6.9084
_cell_length_c 13.6183
_cell_angle_alpha 90.00
_cell_angle_beta 90.00
_cell_angle_gamma 90.00
loop_
_atom_site_label
_atom_site_fract_x
_atom_site_fract_y
_atom_site_fract_z
Cu1 0.0000 0.0000 0.0000
Cu2 0.1554 0.2500 0.1680
Cu3 0.1662 0.7500 0.4510
Mo1 0.2431 0.2500 0.6994
S1 0.1788 0.2500 0.4106
O1 0.0177 0.7500 0.5816
O2 0.0367 0.2500 0.6352
O3 0.1054 0.2500 0.0270
O4 0.1353 0.5313 0.1672
O5 0.1924 0.2500 0.8269
O6 0.2386 0.2500 0.3073
O7 0.2499 0.0746 0.4625
```

---

Entry 6:
# Sr2Cu2MoO7
Theoretical PXRD pattern, Cu Kα, 1.54184 Å. Input: DFT lattice parameters and positions (PBE+U).
Peak positions follow from Bragg's law for the DFT cell and can differ from measured ones.

Principal peaks in the range 10° ≤ 2θ ≤ 90°, by angle:
| hkl | 2θ (°) | d_spacing | intensity |
| --- | --- | --- | --- |
| 0 6 0 | 20.78 | 4.274 | 28 |
| 0 4 1 | 27.50 | 3.244 | 100 |
| 0 6 1 | 31.69 | 2.823 | 37 |
| 2 0 0 | 33.65 | 2.663 | 26 |
| 2 0 -2 | 33.77 | 2.655 | 32 |
| 0 10 0 | 34.99 | 2.565 | 21 |
| 2 8 -1 | 36.84 | 2.439 | 54 |
| 0 0 2 | 48.41 | 1.880 | 33 |
| 4 8 -1 | 62.29 | 1.491 | 18 |
| 4 8 -3 | 62.43 | 1.488 | 13 |

Crystal structure
```
data_Sr2Cu2MoO7
_space_group_name_H-M_alt 'C 1 m 1'
_space_group_IT_number 8
_space_group_name_Hall 'C -2y'
_cell_length_a 7.5154
_cell_length_b 25.6460
_cell_length_c 5.3092
_cell_angle_alpha 90.00
_cell_angle_beta 134.87
_cell_angle_gamma 90.00
loop_
_atom_site_label
_atom_site_fract_x
_atom_site_fract_y
_atom_site_fract_z
Sr1 0.0000 0.1158 0.0000
Sr2 0.4830 0.1167 0.9838
Cu1 0.4897 0.3089 0.4903
Cu2 0.4940 0.1911 0.4949
Mo1 0.0867 0.5000 0.5040
Mo2 0.4021 0.5000 0.3855
O1 0.0178 0.0663 0.5457
O2 0.0365 0.5000 0.0824
O3 0.2414 0.1768 0.4917
O4 0.2417 0.1761 0.9930
O5 0.2422 0.3251 0.4933
O6 0.2423 0.3265 0.9926
O7 0.4057 0.5000 0.0028
O8 0.4753 0.0652 0.4683
```

---

> What is the formula in the first record?

Cu3Mo2O9